Entry 1:
Diffraction record for Na3InAs. The X-ray diffraction stick pattern is simulated, not measured: it uses a structure optimized by DFT (GGA-PBE) and Cu Kα, 1.54184 Å.

Principal peaks in the range 5° ≤ 2θ ≤ 70°, sorted by position:
2θ/deg, d [Å], I_rel, index
17.07, 5.195, 1000, 2 0 0
20.03, 4.434, 126, 0 2 0
24.20, 3.677, 286, 2 1 1
27.68, 3.223, 274, 0 0 2
32.71, 2.738, 630, 2 0 2
33.35, 2.687, 299, 0 3 1
34.60, 2.593, 249, 4 0 0
37.71, 2.386, 425, 2 3 1
48.81, 1.866, 199, 4 3 1
55.77, 1.648, 131, 2 3 3

Cell lengths 10.370, 8.867, 6.448 Å; angles 90.00, 90.00, 90.00 degrees
Space group Ima2 (No. 46)
One atom of each set of equivalent atoms:
1 Na 0.031 0.249 0.000
2 Na 0.250 0.031 0.749
3 In 0.250 0.674 0.750
4 As 0.250 0.121 0.250

Entry 2:
Diffraction record for Na3InAs3. The X-ray diffraction stick pattern is simulated, not measured: it uses a structure optimized by DFT (GGA-PBE) and Cu Kα, 1.54184 Å.

Principal peaks in the range 5° ≤ 2θ ≤ 70°, sorted by position:
2θ/deg, d [Å], I_rel, index
6.87, 12.868, 735, 0 0 1
15.23, 5.816, 934, 2 0 -1
20.67, 4.297, 1000, 1 1 0
27.31, 3.266, 323, 2 0 -4
29.85, 2.993, 412, 3 1 -1
31.20, 2.867, 293, 1 1 3
32.70, 2.738, 300, 3 1 -3
36.22, 2.480, 836, 3 1 -4
36.99, 2.430, 868, 3 1 2
38.65, 2.329, 628, 0 2 0

Cell lengths 11.721, 4.659, 13.558 Å; angles 90.00, 108.36, 90.00 degrees
Space group C2/m (No. 12)
One atom of each set of equivalent atoms:
1 Na 0.010 0.000 0.139
2 Na 0.107 0.000 0.423
3 Na 0.209 0.000 0.702
4 In 0.207 0.500 0.893
5 As 0.004 0.500 0.719
6 As 0.097 0.500 0.572
7 As 0.152 0.500 0.076

Entry 3:
Diffraction record for Na2InAs2O6. The X-ray diffraction stick pattern is simulated, not measured: it uses a structure optimized by DFT (GGA-PBE) and Cu Kα, 1.54184 Å.

Principal peaks in the range 5° ≤ 2θ ≤ 70°, sorted by position:
2θ/deg, d [Å], I_rel, index
14.98, 5.913, 1000, 0 0 1
23.66, 3.760, 414, 1 0 1
31.82, 2.812, 732, 1 1 0
35.34, 2.540, 633, 2 -1 1
35.52, 2.528, 441, 1 0 2
44.46, 2.038, 446, 2 -1 2
48.42, 1.880, 160, 0 2 2
56.69, 1.624, 217, 3 0 0
58.99, 1.566, 145, 0 3 1
59.11, 1.563, 178, 3 -1 2

Cell lengths 5.6244, 5.6244, 5.9135 Å; angles 90.00, 90.00, 120.00 degrees
Space group P-3 (No. 147)
One atom of each set of equivalent atoms:
1 Na 0.3333 0.6667 0.4095
2 In 0.0000 0.0000 0.0000
3 As 0.3333 0.6667 0.9139
4 O 0.0870 0.7308 0.7765